(1)
The following is a computed powder X-ray diffraction pattern of Er2AgHg. It was derived from a PBE-relaxed structure, using copper Kα.

Structural model:
Lattice parameters (Å, degrees): 5.1515 5.1515 3.6446 90.00 90.00 90.00
Element x y z (fractional)
Er1 0.0000 0.5000 0.0000
Er2 0.5000 0.0000 0.0000
Ag1 0.0000 0.0000 0.5000
Hg1 0.5000 0.5000 0.5000

The 8 most intense peaks (2θ from 10° to 90°), low angle first:
17.21°, d = 5.152 Å, I 3; 30.03°, d = 2.975 Å, I 2; 34.82°, d = 2.576 Å, I 100; 46.64°, d = 1.947 Å, I 1; 50.07°, d = 1.822 Å, I 18; 62.44°, d = 1.487 Å, I 37; 73.52°, d = 1.288 Å, I 11; 84.00°, d = 1.152 Å, I 16

=====

(2)
The following is a computed powder X-ray diffraction pattern of Ho4ErAg5. It was derived from a PBE-relaxed structure, using copper Kα.

Structural model:
Lattice parameters (Å, degrees): 3.6010 3.6010 18.0475 90.00 90.00 90.00
Element x y z (fractional)
Ho1 0.0000 0.0000 0.1002
Ho2 0.0000 0.0000 0.3006
Ho3 0.0000 0.0000 0.6994
Ho4 0.0000 0.0000 0.8998
Er1 0.0000 0.0000 0.5000
Ag1 0.5000 0.5000 0.0000
Ag2 0.5000 0.5000 0.2003
Ag3 0.5000 0.5000 0.4011
Ag4 0.5000 0.5000 0.5989
Ag5 0.5000 0.5000 0.7997

The 8 most intense peaks (2θ from 10° to 90°), low angle first:
24.70°, d = 3.604 Å, I 4; 35.22°, d = 2.548 Å, I 100; 50.58°, d = 1.805 Å, I 6; 50.70°, d = 1.801 Å, I 12; 63.20°, d = 1.471 Å, I 36; 74.43°, d = 1.275 Å, I 7; 85.00°, d = 1.141 Å, I 5; 85.21°, d = 1.139 Å, I 10

=====

(3)
The following is a computed powder X-ray diffraction pattern of HoEr2Tl3AgPd2. It was derived from a PBE-relaxed structure, using copper Kα.

Structural model:
Lattice parameters (Å, degrees): 3.7357 7.9103 7.9103 120.01 90.00 90.00
Element x y z (fractional)
Ho1 0.0000 0.0000 0.0000
Er1 0.0000 0.4054 0.8110
Er2 0.0000 0.8110 0.4054
Tl1 0.5000 0.1305 0.4054
Tl2 0.5000 0.4054 0.1305
Tl3 0.5000 0.6802 0.6802
Ag1 0.0000 0.4057 0.4057
Pd1 0.5000 0.0723 0.7380
Pd2 0.5000 0.7380 0.0723

The 8 most intense peaks (2θ from 10° to 90°), low angle first:
32.98°, d = 2.716 Å, I 100; 34.65°, d = 2.589 Å, I 44; 35.56°, d = 2.525 Å, I 62; 39.46°, d = 2.283 Å, I 43; 48.75°, d = 1.868 Å, I 18; 61.18°, d = 1.515 Å, I 17; 64.31°, d = 1.449 Å, I 31; 64.45°, d = 1.446 Å, I 20

=====

(4)
The following is a computed powder X-ray diffraction pattern of Ho2ErTl3AgPt2. It was derived from a PBE-relaxed structure, using copper Kα.

Structural model:
Lattice parameters (Å, degrees): 3.7402 7.9152 7.9152 119.95 90.00 90.00
Element x y z (fractional)
Ho1 0.0000 0.2049 0.7951
Ho2 0.0000 0.7951 0.2049
Er1 0.0000 0.3850 0.3850
Tl1 0.5000 0.0663 0.0663
Tl2 0.5000 0.5240 0.7949
Tl3 0.5000 0.7949 0.5240
Ag1 0.0000 0.7949 0.7949
Pt1 0.5000 0.1289 0.4615
Pt2 0.5000 0.4615 0.1289

The 8 most intense peaks (2θ from 10° to 90°), low angle first:
32.95°, d = 2.719 Å, I 100; 34.61°, d = 2.591 Å, I 51; 35.52°, d = 2.527 Å, I 79; 39.43°, d = 2.285 Å, I 53; 42.44°, d = 2.130 Å, I 26; 48.69°, d = 1.870 Å, I 22; 64.24°, d = 1.450 Å, I 37; 64.37°, d = 1.447 Å, I 25

=====

(5)
The following is a computed powder X-ray diffraction pattern of Ho2ErSc3AgTe2. It was derived from a PBE-relaxed structure, using copper Kα.

Structural model:
Lattice parameters (Å, degrees): 3.9600 8.0529 8.0529 119.99 90.00 90.00
Element x y z (fractional)
Ho1 0.0000 0.1993 0.8007
Ho2 0.0000 0.8007 0.1993
Er1 0.0000 0.4030 0.4030
Sc1 0.5000 0.0516 0.0516
Sc2 0.5000 0.5497 0.8005
Sc3 0.5000 0.8005 0.5497
Ag1 0.0000 0.7996 0.7996
Te1 0.5000 0.1343 0.4672
Te2 0.5000 0.4672 0.1343

The 8 most intense peaks (2θ from 10° to 90°), low angle first:
22.07°, d = 4.027 Å, I 33; 31.69°, d = 2.823 Å, I 100; 34.01°, d = 2.636 Å, I 28; 34.26°, d = 2.617 Å, I 82; 38.73°, d = 2.325 Å, I 47; 41.14°, d = 2.194 Å, I 27; 61.52°, d = 1.507 Å, I 23; 62.62°, d = 1.484 Å, I 29

=====

(6)
The following is a computed powder X-ray diffraction pattern of ErTm2In3Ag3. It was derived from a PBE-relaxed structure, using copper Kα.

Structural model:
Lattice parameters (Å, degrees): 3.8711 7.8048 7.8048 120.08 90.00 90.00
Element x y z (fractional)
Er1 0.0000 0.0000 0.0000
Tm1 0.0000 0.4040 0.8077
Tm2 0.0000 0.8077 0.4040
In1 0.5000 0.1385 0.4041
In2 0.5000 0.4041 0.1385
In3 0.5000 0.6695 0.6695
Ag1 0.0000 0.4044 0.4044
Ag2 0.5000 0.0710 0.7366
Ag3 0.5000 0.7366 0.0710

The 8 most intense peaks (2θ from 10° to 90°), low angle first:
32.59°, d = 2.748 Å, I 100; 35.14°, d = 2.554 Å, I 41; 35.26°, d = 2.545 Å, I 79; 40.03°, d = 2.252 Å, I 42; 42.40°, d = 2.132 Å, I 19; 46.94°, d = 1.936 Å, I 21; 63.36°, d = 1.468 Å, I 21; 64.79°, d = 1.439 Å, I 30

=====

(7)
The following is a computed powder X-ray diffraction pattern of Y2ErTl3AgIr2. It was derived from a PBE-relaxed structure, using copper Kα.

Structural model:
Lattice parameters (Å, degrees): 3.7937 7.8357 7.8357 119.61 90.00 90.00
Element x y z (fractional)
Y1 0.0000 0.2056 0.7944
Y2 0.0000 0.7944 0.2056
Er1 0.0000 0.6189 0.6189
Tl1 0.5000 0.2047 0.4771
Tl2 0.5000 0.4771 0.2047
Tl3 0.5000 0.9353 0.9353
Ag1 0.0000 0.2072 0.2072
Ir1 0.5000 0.5397 0.8677
Ir2 0.5000 0.8677 0.5397

The 8 most intense peaks (2θ from 10° to 90°), low angle first:
32.83°, d = 2.728 Å, I 100; 34.97°, d = 2.566 Å, I 33; 35.42°, d = 2.535 Å, I 53; 35.54°, d = 2.526 Å, I 32; 39.69°, d = 2.271 Å, I 38; 42.53°, d = 2.125 Å, I 28; 47.96°, d = 1.897 Å, I 25; 64.72°, d = 1.440 Å, I 26

=====

(8)
The following is a computed powder X-ray diffraction pattern of ErAgNO. It was derived from a PBE-relaxed structure, using copper Kα.

Structural model:
Lattice parameters (Å, degrees): 3.8763 6.1528 5.6382 90.00 90.00 90.00
Element x y z (fractional)
Er1 0.0000 0.1852 0.0000
Er2 0.0000 0.8148 0.5000
Ag1 0.5000 0.3511 0.5037
Ag2 0.5000 0.6489 0.0037
N1 0.5000 0.3205 0.8804
N2 0.5000 0.6795 0.3804
O1 0.0000 0.1376 0.3733
O2 0.0000 0.8624 0.8733

The 8 most intense peaks (2θ from 10° to 90°), low angle first:
27.19°, d = 3.280 Å, I 33; 31.56°, d = 2.835 Å, I 100; 31.74°, d = 2.819 Å, I 38; 33.17°, d = 2.701 Å, I 38; 42.27°, d = 2.138 Å, I 16; 50.33°, d = 1.813 Å, I 21; 56.43°, d = 1.631 Å, I 25; 60.74°, d = 1.525 Å, I 20